This entry pairs a crystal structure of Nb2Mo2C3 with its theoretical PXRD pattern. Radiation: Cu Kα X-rays. Structure: the PBE geometry in the Materials Project.
No peak broadening, texture or thermal motion is included.

Largest 6 diffraction maxima, by intensity, 2θ from 10° to 90°:
| Position (°2θ) | I/Imax |
| --- | --- |
| 35.1 | 100 |
| 41.0 | 88 |
| 35.7 | 31 |
| 58.9 | 29 |
| 59.7 | 26 |
| 70.8 | 25 |

Atomic structure:
Cell lengths 3.1352, 3.1352, 30.1721 Å; angles 90.00, 90.00, 120.00 degrees
Space group R-3m (No. 166, hexagonal axes)
Symmetry-distinct sites (fractional):
Nb (0.0000, 0.0000, 0.1225) [6 per cell]
Mo (0.0000, 0.0000, 0.3770) [6 per cell]
C (0.0000, 0.0000, 0.0000) [3 per cell]
C (0.0000, 0.0000, 0.2485) [6 per cell]


This entry pairs a crystal structure of Zr2NbMoC4 with its theoretical PXRD pattern. Radiation: Cu Kα X-rays. Structure: the PBE geometry in the Materials Project.
No peak broadening, texture or thermal motion is included.

Largest 6 diffraction maxima, by intensity, 2θ from 10° to 90°:
| Position (°2θ) | I/Imax |
| --- | --- |
| 39.4 | 100 |
| 33.9 | 100 |
| 56.8 | 33 |
| 34.1 | 32 |
| 57.1 | 30 |
| 67.9 | 26 |

Atomic structure:
Cell lengths 3.2431, 3.2431, 31.5215 Å; angles 90.00, 90.00, 120.00 degrees
Space group R3m (No. 160, hexagonal axes)
Symmetry-distinct sites (fractional):
Zr (0.0000, 0.0000, 0.0000) [3 per cell]
Zr (0.0000, 0.0000, 0.2456) [3 per cell]
Nb (0.0000, 0.0000, 0.4933) [3 per cell]
Mo (0.0000, 0.0000, 0.7492) [3 per cell]
C (0.0000, 0.0000, 0.1204) [3 per cell]
C (0.0000, 0.0000, 0.3775) [3 per cell]
C (0.0000, 0.0000, 0.6228) [3 per cell]
C (0.0000, 0.0000, 0.8678) [3 per cell]


This entry pairs a crystal structure of Nd2MoC2 with its theoretical PXRD pattern. Radiation: Cu Kα X-rays. Structure: the PBE geometry in the Materials Project.
No peak broadening, texture or thermal motion is included.

Largest 6 diffraction maxima, by intensity, 2θ from 10° to 90°:
| Position (°2θ) | I/Imax |
| --- | --- |
| 33.8 | 100 |
| 34.3 | 48 |
| 30.6 | 42 |
| 54.0 | 27 |
| 30.0 | 19 |
| 63.4 | 16 |

Atomic structure:
Cell lengths 5.8413, 5.8413, 10.3854 Å; angles 90.00, 90.00, 90.00 degrees
Space group P4_2/mnm (No. 136)
Symmetry-distinct sites (fractional):
Nd (0.1981, 0.1981, 0.1560) [8 per cell]
Mo (0.1759, 0.1759, 0.5000) [4 per cell]
C (0.0000, 0.0000, 0.3560) [4 per cell]
C (0.0000, 0.5000, 0.0000) [4 per cell]


This entry pairs a crystal structure of Ni6Mo6C with its theoretical PXRD pattern. Radiation: Cu Kα X-rays. Structure: the PBE geometry in the Materials Project.
No peak broadening, texture or thermal motion is included.

Largest 6 diffraction maxima, by intensity, 2θ from 10° to 90°:
| Position (°2θ) | I/Imax |
| --- | --- |
| 43.1 | 100 |
| 47.1 | 37 |
| 40.5 | 36 |
| 73.7 | 32 |
| 89.3 | 16 |
| 35.9 | 15 |

Atomic structure:
Cell lengths 10.9107, 10.9107, 10.9107 Å; angles 90.00, 90.00, 90.00 degrees
Space group Fd-3m (No. 227, origin choice 2)
Symmetry-distinct sites (fractional):
Ni (0.0000, 0.0000, 0.0000) [16 per cell]
Ni (0.0415, 0.0415, 0.2085) [32 per cell]
Mo (0.0731, 0.3750, 0.8750) [48 per cell]
C (0.1250, 0.1250, 0.6250) [8 per cell]


This entry pairs a crystal structure of Ni2Mo4C with its theoretical PXRD pattern. Radiation: Cu Kα X-rays. Structure: the PBE geometry in the Materials Project.
No peak broadening, texture or thermal motion is included.

Largest 6 diffraction maxima, by intensity, 2θ from 10° to 90°:
| Position (°2θ) | I/Imax |
| --- | --- |
| 41.5 | 100 |
| 39.0 | 39 |
| 70.7 | 35 |
| 45.3 | 32 |
| 34.6 | 22 |
| 85.4 | 18 |

Atomic structure:
Cell lengths 11.3130, 11.3130, 11.3130 Å; angles 90.00, 90.00, 90.00 degrees
Space group Fd-3m (No. 227, origin choice 2)
Symmetry-distinct sites (fractional):
Ni (0.0421, 0.0421, 0.2079) [32 per cell]
Mo (0.0000, 0.0000, 0.0000) [16 per cell]
Mo (0.0647, 0.3750, 0.8750) [48 per cell]
C (0.0000, 0.0000, 0.5000) [16 per cell]


This entry pairs a crystal structure of Ni3Mo3C with its theoretical PXRD pattern. Radiation: Cu Kα X-rays. Structure: the PBE geometry in the Materials Project.
No peak broadening, texture or thermal motion is included.

Largest 6 diffraction maxima, by intensity, 2θ from 10° to 90°:
| Position (°2θ) | I/Imax |
| --- | --- |
| 42.4 | 100 |
| 46.4 | 49 |
| 39.9 | 40 |
| 72.5 | 31 |
| 87.7 | 16 |
| 35.4 | 13 |

Atomic structure:
Cell lengths 11.0676, 11.0676, 11.0676 Å; angles 90.00, 90.00, 90.00 degrees
Space group Fd-3m (No. 227, origin choice 2)
Symmetry-distinct sites (fractional):
Ni (0.0000, 0.0000, 0.0000) [16 per cell]
Ni (0.0417, 0.0417, 0.2083) [32 per cell]
Mo (0.0780, 0.3750, 0.8750) [48 per cell]
C (0.0000, 0.0000, 0.5000) [16 per cell]


This entry pairs a crystal structure of PrSi2Mo2C with its theoretical PXRD pattern. Radiation: Cu Kα X-rays. Structure: the PBE geometry in the Materials Project.
No peak broadening, texture or thermal motion is included.

Largest 6 diffraction maxima, by intensity, 2θ from 10° to 90°:
| Position (°2θ) | I/Imax |
| --- | --- |
| 34.1 | 100 |
| 42.7 | 38 |
| 59.4 | 30 |
| 39.3 | 25 |
| 54.9 | 25 |
| 26.6 | 24 |

Atomic structure:
Cell lengths 4.2380, 4.2380, 5.4535 Å; angles 90.00, 90.00, 90.00 degrees
Space group P4/mmm (No. 123)
Symmetry-distinct sites (fractional):
Pr (0.0000, 0.0000, 0.0000) [1 per cell]
Si (0.5000, 0.5000, 0.2224) [2 per cell]
Mo (0.0000, 0.5000, 0.5000) [2 per cell]
C (0.0000, 0.0000, 0.5000) [1 per cell]


Please write out number 2 again, unchanged.
This entry pairs a crystal structure of Zr2NbMoC4 with its theoretical PXRD pattern. Radiation: Cu Kα X-rays. Structure: the PBE geometry in the Materials Project.
No peak broadening, texture or thermal motion is included.

Largest 6 diffraction maxima, by intensity, 2θ from 10° to 90°:
| Position (°2θ) | I/Imax |
| --- | --- |
| 39.4 | 100 |
| 33.9 | 100 |
| 56.8 | 33 |
| 34.1 | 32 |
| 57.1 | 30 |
| 67.9 | 26 |

Atomic structure:
Cell lengths 3.2431, 3.2431, 31.5215 Å; angles 90.00, 90.00, 120.00 degrees
Space group R3m (No. 160, hexagonal axes)
Symmetry-distinct sites (fractional):
Zr (0.0000, 0.0000, 0.0000) [3 per cell]
Zr (0.0000, 0.0000, 0.2456) [3 per cell]
Nb (0.0000, 0.0000, 0.4933) [3 per cell]
Mo (0.0000, 0.0000, 0.7492) [3 per cell]
C (0.0000, 0.0000, 0.1204) [3 per cell]
C (0.0000, 0.0000, 0.3775) [3 per cell]
C (0.0000, 0.0000, 0.6228) [3 per cell]
C (0.0000, 0.0000, 0.8678) [3 per cell]